# 1
Starting from a structure optimized by DFT (GGA-PBE), the powder diffraction line list of ZrAl2Fe9 was computed for Cu Kα X-rays.
Neutral-atom scattering factors, no anomalous dispersion.

Main lines, by intensity (10 to 90 degrees two-theta):
| 2theta | d/Å | I/Imax |
| --- | --- | --- |
| 44.3 | 2.043 | 100 |
| 43.6 | 2.077 | 29 |
| 47.8 | 1.902 | 28 |
| 47.1 | 1.929 | 28 |
| 72.2 | 1.308 | 21 |
| 79.6 | 1.204 | 20 |
| 37.3 | 2.408 | 20 |
| 44.1 | 2.053 | 17 |
| 11.5 | 7.717 | 17 |
| 26.3 | 3.384 | 17 |

Structural model:
Unit cell a=8.203 b=8.203 c=8.203 alpha=34.15 beta=34.15 gamma=34.15
Fractional positions:
Zr 0.000 0.000 0.000
Al 0.142 0.142 0.142
Al 0.858 0.858 0.858
Fe 0.080 0.590 0.590
Fe 0.334 0.334 0.334
Fe 0.410 0.410 0.920
Fe 0.410 0.920 0.410
Fe 0.500 0.500 0.500
Fe 0.590 0.080 0.590
Fe 0.590 0.590 0.080
Fe 0.666 0.666 0.666
Fe 0.920 0.410 0.410

# 2
Starting from a structure optimized by DFT (GGA-PBE), the powder diffraction line list of Zr2AlFe3 was computed for Cu Kα X-rays.
Neutral-atom scattering factors, no anomalous dispersion.

Main lines, by intensity (10 to 90 degrees two-theta):
| 2theta | d/Å | I/Imax |
| --- | --- | --- |
| 39.0 | 2.310 | 100 |
| 42.1 | 2.144 | 85 |
| 42.9 | 2.108 | 82 |
| 35.6 | 2.520 | 36 |
| 66.2 | 1.411 | 35 |
| 72.2 | 1.308 | 30 |
| 41.4 | 2.182 | 23 |
| 75.5 | 1.260 | 23 |
| 68.5 | 1.370 | 19 |
| 88.4 | 1.106 | 17 |

Structural model:
Unit cell a=5.039 b=5.039 c=8.170 alpha=90.00 beta=90.00 gamma=120.00
Fractional positions:
Zr 0.333 0.667 0.065
Zr 0.333 0.667 0.435
Zr 0.667 0.333 0.565
Zr 0.667 0.333 0.935
Al 0.000 0.000 0.000
Al 0.000 0.000 0.500
Fe 0.172 0.344 0.750
Fe 0.172 0.828 0.750
Fe 0.344 0.172 0.250
Fe 0.656 0.828 0.750
Fe 0.828 0.172 0.250
Fe 0.828 0.656 0.250

# 3
Starting from a structure optimized by DFT (GGA-PBE), the powder diffraction line list of Al5Ga3 was computed for Cu Kα X-rays.
Neutral-atom scattering factors, no anomalous dispersion.

Main lines, by intensity (10 to 90 degrees two-theta):
| 2theta | d/Å | I/Imax |
| --- | --- | --- |
| 37.4 | 2.404 | 100 |
| 38.8 | 2.320 | 90 |
| 43.1 | 2.098 | 66 |
| 65.3 | 1.428 | 37 |
| 22.8 | 3.898 | 27 |
| 46.6 | 1.949 | 26 |
| 74.4 | 1.276 | 25 |
| 77.0 | 1.238 | 23 |
| 29.2 | 3.054 | 15 |
| 49.3 | 1.848 | 15 |

Structural model:
Unit cell a=6.968 b=6.533 c=4.952 alpha=73.25 beta=63.87 gamma=42.89
Fractional positions:
Al 0.000 0.000 0.000
Al 0.124 0.124 0.376
Al 0.376 0.376 0.124
Al 0.624 0.624 0.876
Al 0.876 0.876 0.624
Ga 0.247 0.247 0.753
Ga 0.500 0.500 0.500
Ga 0.753 0.753 0.247

# 4
Starting from a structure optimized by DFT (GGA-PBE), the powder diffraction line list of Al2Ga5 was computed for Cu Kα X-rays.
Neutral-atom scattering factors, no anomalous dispersion.

Main lines, by intensity (10 to 90 degrees two-theta):
| 2theta | d/Å | I/Imax |
| --- | --- | --- |
| 35.5 | 2.530 | 100 |
| 35.6 | 2.520 | 90 |
| 34.2 | 2.621 | 88 |
| 45.9 | 1.979 | 85 |
| 41.7 | 2.164 | 63 |
| 44.9 | 2.017 | 41 |
| 78.8 | 1.214 | 27 |
| 55.6 | 1.653 | 23 |
| 71.2 | 1.324 | 22 |
| 70.8 | 1.331 | 22 |

Structural model:
Unit cell a=6.219 b=6.219 c=10.292 alpha=90.88 beta=90.88 gamma=40.48
Fractional positions:
Al 0.039 0.821 0.887
Al 0.179 0.961 0.613
Al 0.821 0.039 0.387
Al 0.961 0.179 0.113
Ga 0.091 0.338 0.825
Ga 0.244 0.476 0.531
Ga 0.338 0.091 0.325
Ga 0.395 0.605 0.250
Ga 0.476 0.244 0.031
Ga 0.524 0.756 0.969
Ga 0.605 0.395 0.750
Ga 0.662 0.909 0.675
Ga 0.756 0.524 0.469
Ga 0.909 0.662 0.175

# 5
Starting from a structure optimized by DFT (GGA-PBE), the powder diffraction line list of Al5Ga was computed for Cu Kα X-rays.
Neutral-atom scattering factors, no anomalous dispersion.

Main lines, by intensity (10 to 90 degrees two-theta):
| 2theta | d/Å | I/Imax |
| --- | --- | --- |
| 38.4 | 2.342 | 100 |
| 44.6 | 2.032 | 64 |
| 38.2 | 2.358 | 32 |
| 78.0 | 1.225 | 23 |
| 12.5 | 7.074 | 21 |
| 64.7 | 1.440 | 21 |
| 65.1 | 1.433 | 19 |
| 78.2 | 1.222 | 12 |
| 77.7 | 1.229 | 12 |
| 36.8 | 2.445 | 11 |

Structural model:
Unit cell a=2.866 b=2.866 c=14.147 alpha=90.00 beta=90.00 gamma=120.00
Fractional positions:
Al 0.000 0.000 0.000
Al 0.333 0.667 0.165
Al 0.333 0.667 0.670
Al 0.667 0.333 0.330
Al 0.667 0.333 0.835
Ga 0.000 0.000 0.500

# 6
Starting from a structure optimized by DFT (GGA-PBE), the powder diffraction line list of AlGa3 was computed for Cu Kα X-rays.
Neutral-atom scattering factors, no anomalous dispersion.

Main lines, by intensity (10 to 90 degrees two-theta):
| 2theta | d/Å | I/Imax |
| --- | --- | --- |
| 40.4 | 2.232 | 100 |
| 39.6 | 2.279 | 49 |
| 36.1 | 2.487 | 43 |
| 36.0 | 2.498 | 23 |
| 67.8 | 1.382 | 19 |
| 75.2 | 1.264 | 19 |
| 76.9 | 1.240 | 16 |
| 63.4 | 1.467 | 16 |
| 35.0 | 2.563 | 15 |
| 51.9 | 1.763 | 15 |

Structural model:
Unit cell a=5.776 b=5.776 c=5.776 alpha=151.33 beta=61.08 gamma=127.31
Fractional positions:
Al 0.000 0.000 0.000
Ga 0.411 0.671 0.740
Ga 0.516 0.016 0.500
Ga 0.930 0.671 0.260

# 7
Starting from a structure optimized by DFT (GGA-PBE), the powder diffraction line list of AlGa3 was computed for Cu Kα X-rays.
Neutral-atom scattering factors, no anomalous dispersion.

Main lines, by intensity (10 to 90 degrees two-theta):
| 2theta | d/Å | I/Imax |
| --- | --- | --- |
| 37.4 | 2.405 | 100 |
| 44.2 | 2.049 | 31 |
| 76.8 | 1.241 | 23 |
| 62.6 | 1.485 | 21 |
| 41.9 | 2.155 | 18 |
| 73.6 | 1.287 | 13 |
| 18.5 | 4.807 | 10 |
| 79.7 | 1.203 | 5 |
| 79.8 | 1.202 | 5 |
| 64.2 | 1.450 | 5 |

Structural model:
Unit cell a=5.947 b=5.947 c=5.947 alpha=121.72 beta=121.62 gamma=87.13
Fractional positions:
Al 0.250 0.000 0.250
Al 0.750 0.000 0.750
Ga 0.250 0.000 0.750
Ga 0.250 0.500 0.250
Ga 0.251 0.501 0.750
Ga 0.749 0.499 0.250
Ga 0.750 0.000 0.250
Ga 0.750 0.500 0.750

# 8
Starting from a structure optimized by DFT (GGA-PBE), the powder diffraction line list of Al3Ga8 was computed for Cu Kα X-rays.
Neutral-atom scattering factors, no anomalous dispersion.

Main lines, by intensity (10 to 90 degrees two-theta):
| 2theta | d/Å | I/Imax |
| --- | --- | --- |
| 37.4 | 2.407 | 100 |
| 43.7 | 2.071 | 64 |
| 37.4 | 2.401 | 50 |
| 37.6 | 2.394 | 49 |
| 43.1 | 2.101 | 33 |
| 63.1 | 1.474 | 21 |
| 76.1 | 1.251 | 17 |
| 23.7 | 3.754 | 15 |
| 75.0 | 1.266 | 12 |
| 76.3 | 1.248 | 12 |

Structural model:
Unit cell a=4.137 b=5.091 c=10.623 alpha=76.99 beta=78.93 gamma=66.23
Fractional positions:
Al 0.000 0.000 0.000
Al 0.092 0.449 0.365
Al 0.908 0.551 0.635
Ga 0.183 0.906 0.726
Ga 0.273 0.363 0.090
Ga 0.366 0.813 0.453
Ga 0.455 0.271 0.818
Ga 0.545 0.729 0.182
Ga 0.634 0.187 0.547
Ga 0.727 0.637 0.910
Ga 0.817 0.094 0.274

# 9
Starting from a structure optimized by DFT (GGA-PBE), the powder diffraction line list of AlGa8 was computed for Cu Kα X-rays.
Neutral-atom scattering factors, no anomalous dispersion.

Main lines, by intensity (10 to 90 degrees two-theta):
| 2theta | d/Å | I/Imax |
| --- | --- | --- |
| 33.8 | 2.650 | 100 |
| 37.7 | 2.385 | 87 |
| 37.0 | 2.429 | 64 |
| 45.4 | 1.998 | 44 |
| 36.8 | 2.444 | 44 |
| 45.5 | 1.993 | 34 |
| 40.8 | 2.214 | 28 |
| 45.1 | 2.010 | 28 |
| 39.2 | 2.299 | 24 |
| 64.5 | 1.444 | 19 |

Structural model:
Unit cell a=2.887 b=7.453 c=8.137 alpha=77.86 beta=89.87 gamma=79.34
Fractional positions:
Al 0.000 0.000 0.000
Ga 0.164 0.691 0.297
Ga 0.166 0.650 0.644
Ga 0.332 0.329 0.024
Ga 0.485 0.981 0.674
Ga 0.515 0.019 0.326
Ga 0.668 0.671 0.976
Ga 0.834 0.350 0.356
Ga 0.836 0.309 0.703

# 10
Starting from a structure optimized by DFT (GGA-PBE), the powder diffraction line list of Al5Ga was computed for Cu Kα X-rays.
Neutral-atom scattering factors, no anomalous dispersion.

Main lines, by intensity (10 to 90 degrees two-theta):
| 2theta | d/Å | I/Imax |
| --- | --- | --- |
| 41.0 | 2.201 | 100 |
| 36.1 | 2.489 | 27 |
| 38.1 | 2.360 | 27 |
| 70.9 | 1.330 | 20 |
| 77.8 | 1.227 | 19 |
| 12.5 | 7.079 | 17 |
| 53.5 | 1.712 | 17 |
| 64.9 | 1.437 | 16 |
| 79.7 | 1.203 | 14 |
| 36.7 | 2.451 | 9 |

Structural model:
Unit cell a=2.874 b=2.874 c=14.158 alpha=90.00 beta=90.00 gamma=120.00
Fractional positions:
Al 0.000 0.000 0.000
Al 0.000 0.000 0.330
Al 0.000 0.000 0.670
Al 0.333 0.667 0.165
Al 0.333 0.667 0.835
Ga 0.333 0.667 0.500

# 11
Starting from a structure optimized by DFT (GGA-PBE), the powder diffraction line list of Al3Ga was computed for Cu Kα X-rays.
Neutral-atom scattering factors, no anomalous dispersion.

Main lines, by intensity (10 to 90 degrees two-theta):
| 2theta | d/Å | I/Imax |
| --- | --- | --- |
| 37.5 | 2.396 | 100 |
| 39.0 | 2.310 | 90 |
| 44.4 | 2.038 | 61 |
| 64.8 | 1.440 | 39 |
| 14.9 | 5.930 | 38 |
| 44.6 | 2.034 | 30 |
| 76.3 | 1.248 | 24 |
| 26.6 | 3.354 | 23 |
| 79.1 | 1.211 | 22 |
| 21.9 | 4.067 | 17 |

Structural model:
Unit cell a=2.807 b=4.067 c=5.930 alpha=90.00 beta=90.00 gamma=90.00
Fractional positions:
Al 0.000 0.000 0.000
Al 0.500 0.500 0.247
Al 0.500 0.500 0.753
Ga 0.000 0.000 0.500

# 12
Starting from a structure optimized by DFT (GGA-PBE), the powder diffraction line list of Al3Ga5 was computed for Cu Kα X-rays.
Neutral-atom scattering factors, no anomalous dispersion.

Main lines, by intensity (10 to 90 degrees two-theta):
| 2theta | d/Å | I/Imax |
| --- | --- | --- |
| 35.6 | 2.524 | 100 |
| 36.2 | 2.482 | 95 |
| 39.1 | 2.305 | 77 |
| 39.1 | 2.301 | 76 |
| 40.4 | 2.234 | 70 |
| 45.7 | 1.987 | 49 |
| 47.0 | 1.935 | 45 |
| 22.4 | 3.974 | 30 |
| 66.9 | 1.398 | 30 |
| 56.1 | 1.640 | 26 |

Structural model:
Unit cell a=4.673 b=4.779 c=7.151 alpha=78.19 beta=78.03 gamma=68.34
Fractional positions:
Al 0.000 0.000 0.000
Al 0.489 0.759 0.250
Al 0.511 0.241 0.750
Ga 0.000 0.500 0.500
Ga 0.249 0.380 0.121
Ga 0.258 0.870 0.629
Ga 0.742 0.130 0.371
Ga 0.751 0.620 0.879

# 13
Starting from a structure optimized by DFT (GGA-PBE), the powder diffraction line list of AlGa4 was computed for Cu Kα X-rays.
Neutral-atom scattering factors, no anomalous dispersion.

Main lines, by intensity (10 to 90 degrees two-theta):
| 2theta | d/Å | I/Imax |
| --- | --- | --- |
| 37.4 | 2.405 | 100 |
| 35.4 | 2.534 | 25 |
| 50.6 | 1.805 | 20 |
| 64.9 | 1.437 | 19 |
| 32.8 | 2.731 | 17 |
| 46.6 | 1.950 | 15 |
| 47.0 | 1.931 | 13 |
| 29.2 | 3.054 | 12 |
| 78.3 | 1.222 | 8 |
| 41.3 | 2.186 | 8 |

Structural model:
Unit cell a=6.108 b=6.108 c=5.068 alpha=90.00 beta=90.00 gamma=90.00
Fractional positions:
Al 0.000 0.000 0.250
Al 0.000 0.000 0.750
Ga 0.197 0.368 0.000
Ga 0.197 0.632 0.500
Ga 0.368 0.197 0.500
Ga 0.368 0.803 0.000
Ga 0.632 0.197 0.000
Ga 0.632 0.803 0.500
Ga 0.803 0.368 0.500
Ga 0.803 0.632 0.000

# 14
Starting from a structure optimized by DFT (GGA-PBE), the powder diffraction line list of AlGa6 was computed for Cu Kα X-rays.
Neutral-atom scattering factors, no anomalous dispersion.

Main lines, by intensity (10 to 90 degrees two-theta):
| 2theta | d/Å | I/Imax |
| --- | --- | --- |
| 38.4 | 2.346 | 100 |
| 44.4 | 2.039 | 33 |
| 77.7 | 1.228 | 24 |
| 24.5 | 3.640 | 22 |
| 65.0 | 1.434 | 19 |
| 44.9 | 2.018 | 15 |
| 64.6 | 1.442 | 11 |
| 78.5 | 1.219 | 10 |
| 82.2 | 1.173 | 10 |
| 22.0 | 4.035 | 6 |

Structural model:
Unit cell a=4.078 b=4.078 c=8.071 alpha=90.00 beta=90.00 gamma=90.00
Fractional positions:
Al 0.000 0.000 0.000
Ga 0.000 0.000 0.500
Ga 0.000 0.500 0.265
Ga 0.000 0.500 0.735
Ga 0.500 0.000 0.265
Ga 0.500 0.000 0.735
Ga 0.500 0.500 0.000

# 15
Starting from a structure optimized by DFT (GGA-PBE), the powder diffraction line list of AlGa3 was computed for Cu Kα X-rays.
Neutral-atom scattering factors, no anomalous dispersion.

Main lines, by intensity (10 to 90 degrees two-theta):
| 2theta | d/Å | I/Imax |
| --- | --- | --- |
| 39.1 | 2.302 | 100 |
| 36.0 | 2.494 | 42 |
| 42.4 | 2.131 | 40 |
| 34.6 | 2.595 | 26 |
| 66.8 | 1.400 | 20 |
| 50.8 | 1.798 | 17 |
| 78.2 | 1.222 | 16 |
| 75.7 | 1.256 | 14 |
| 66.7 | 1.402 | 13 |
| 71.5 | 1.319 | 11 |

Structural model:
Unit cell a=3.109 b=4.989 c=4.713 alpha=90.00 beta=90.00 gamma=90.00
Fractional positions:
Al 0.000 0.000 0.000
Ga 0.000 0.500 0.672
Ga 0.500 0.000 0.503
Ga 0.500 0.500 0.170